Record 1
Simulated PXRD pattern
Compound: Tl2GaIr
Radiation: copper Kα
Structure: a DFT-relaxed cell (PBE, OQMD)
Lines closer than 0.1° are merged.

Peak list (8 most intense, 15 to 90 degrees two-theta, in order of rising 2θ)
- 4.034 Å, I = 8, (1 1 1)
- 3.494 Å, I = 4, (2 0 0)
- 2.470 Å, I = 100, (2 2 0)
- 2.107 Å, I = 5, (3 1 1)
- 1.747 Å, I = 18, (4 0 0)
- 1.426 Å, I = 37, (4 2 2)
- 1.235 Å, I = 11, (4 4 0)
- 1.105 Å, I = 17, (6 2 0)

Crystal structure
```
data_Tl2GaIr
_chemical_formula_sum 'Tl8 Ga4 Ir4'
_cell_length_a 6.987
_cell_length_b 6.987
_cell_length_c 6.987
_cell_angle_alpha 90.00
_cell_angle_beta 90.00
_cell_angle_gamma 90.00
_symmetry_space_group_name_H-M 'F -4 3 m'
_symmetry_Int_Tables_number 216
_symmetry_space_group_name_Hall 'F -4 2 3'
loop_
_atom_site_label
_atom_site_fract_x
_atom_site_fract_y
_atom_site_fract_z
_atom_site_occupancy
Tl1 0.000 0.000 0.000 1
Tl2 0.250 0.250 0.250 1
Ga1 0.000 0.000 0.500 1
Ir1 0.250 0.250 0.750 1
```

---

Record 2
Simulated PXRD pattern
Compound: YTmGa4Ir2
Radiation: copper Kα
Structure: a DFT-relaxed cell (PBE, OQMD)
Lines closer than 0.1° are merged.

Peak list (8 most intense, 15 to 90 degrees two-theta, in order of rising 2θ)
- 5.071 Å, I = 28, (0 0 1)
- 3.538 Å, I = 30, (0 2 0)
- 2.608 Å, I = 74, (1 2 0)
- 2.463 Å, I = 100, (1 1 -2)
- 2.387 Å, I = 47, (0 1 2)
- 2.109 Å, I = 29, (1 2 1)
- 2.087 Å, I = 39, (2 0 -1)
- 2.013 Å, I = 33, (1 3 -1)

Crystal structure
```
data_YTmGa4Ir2
_chemical_formula_sum 'Y1 Tm1 Ga4 Ir2'
_cell_length_a 4.175
_cell_length_b 7.075
_cell_length_c 5.481
_cell_angle_alpha 90.00
_cell_angle_beta 112.32
_cell_angle_gamma 90.00
_symmetry_space_group_name_H-M 'P 1 m 1'
_symmetry_Int_Tables_number 6
_symmetry_space_group_name_Hall 'P -2y'
loop_
_atom_site_label
_atom_site_fract_x
_atom_site_fract_y
_atom_site_fract_z
_atom_site_occupancy
Y1 0.000 0.000 0.000 1
Tm1 0.142 0.500 0.283 1
Ga1 0.428 0.302 0.853 1
Ga2 0.713 0.200 0.427 1
Ir1 0.284 0.000 0.569 1
Ir2 0.859 0.500 0.713 1
```